Theoretical X-ray diffraction stick pattern
Compound: Co7Sb2O12
Radiation: λ = 1.5418 Å (Cu Kα)
Structure: a structure optimized by DFT (GGA+U)
Lines closer than 0.1° are merged.

Main lines, low angle first (2θ = 5–70°):
Position (°2θ)	intensity
17.84	60
29.04	29
34.00	70
34.16	100
34.50	28
34.64	27
35.50	26
41.35	19
54.68	20
55.49	24
60.11	31
60.28	31

Atomic structure:
Cell: 6.159 6.159 13.561 Å, 102.03 102.03 90.31°
Positions (direct):
Co 0.000 0.000 0.000
Co 0.000 0.000 0.500
Co 0.000 0.500 0.500
Co 0.141 0.859 0.750
Co 0.162 0.681 0.338
Co 0.205 0.482 0.922
Co 0.319 0.838 0.162
Co 0.482 0.205 0.422
Co 0.500 0.000 0.000
Co 0.518 0.795 0.578
Co 0.681 0.162 0.838
Co 0.795 0.518 0.078
Co 0.838 0.319 0.662
Co 0.859 0.141 0.250
Sb 0.321 0.334 0.164
Sb 0.334 0.321 0.664
Sb 0.666 0.679 0.336
Sb 0.679 0.666 0.836
O 0.098 0.101 0.168
O 0.101 0.098 0.668
O 0.101 0.547 0.664
O 0.106 0.577 0.173
O 0.217 0.750 0.494
O 0.250 0.783 0.006
O 0.255 0.257 0.510
O 0.257 0.255 0.010
O 0.420 0.435 0.325
O 0.423 0.894 0.327
O 0.435 0.420 0.825
O 0.453 0.899 0.836
O 0.547 0.101 0.164
O 0.565 0.580 0.175
O 0.577 0.106 0.673
O 0.580 0.565 0.675
O 0.743 0.745 0.990
O 0.745 0.743 0.490
O 0.750 0.217 0.994
O 0.783 0.250 0.506
O 0.894 0.423 0.827
O 0.899 0.453 0.336
O 0.899 0.902 0.332
O 0.902 0.899 0.832